Computed XRD peak list
Compound: Hf6In5
Radiation: CuKα
Structure: a DFT-relaxed cell (GGA-PBE, Alexandria)

Structure:
a = 6.850 Å, b = 6.850 Å, c = 5.941 Å
α = 98.86°, β = 98.86°, γ = 108.29°
Sites, in units of the cell vectors:
Hf 0.042 0.308 0.670
Hf 0.158 0.158 0.206
Hf 0.308 0.042 0.670
Hf 0.692 0.958 0.330
Hf 0.842 0.842 0.794
Hf 0.958 0.692 0.330
In 0.238 0.762 0.000
In 0.368 0.632 0.500
In 0.500 0.500 0.000
In 0.632 0.368 0.500
In 0.762 0.238 0.000

Main lines, low angle first (10 to 90 degrees two-theta):
| 2theta | I (rel.) |
| --- | --- |
| 29.4 | 34 |
| 32.5 | 72 |
| 33.7 | 100 |
| 35.1 | 26 |
| 35.7 | 79 |
| 35.9 | 67 |
| 37.1 | 68 |
| 40.7 | 62 |
| 42.2 | 24 |
| 52.4 | 22 |
| 69.6 | 20 |
| 70.4 | 22 |